Entry 1:
# Na10B11C9
Simulated powder diffraction line list, copper Kα. Input: a structure optimized by DFT (GGA-PBE).

Cell and atoms:
Cell: 14.2099 4.9166 8.9087 Å, 90.00 108.60 90.00°
Space group C2 (No. 5)
Inequivalent atoms, fractional coordinates:
Na 0.0499 0.0000 0.2493
Na 0.0501 0.4990 0.7505
Na 0.1493 0.9984 0.7487
Na 0.1499 0.4990 0.2496
Na 0.2501 0.4984 0.7486
B 0.0000 0.1656 0.5000
B 0.0000 0.3158 0.0000
B 0.0000 0.6667 0.0000
B 0.1000 0.6656 0.5005
B 0.1055 0.8349 0.0001
B 0.2000 0.1656 0.5003
B 0.1998 0.3331 0.0000
C 0.0000 0.8318 0.5000
C 0.1002 0.3319 0.5009
C 0.1012 0.1660 0.0001
C 0.2001 0.8318 0.5008
C 0.2028 0.6693 0.0001

Top 10 peaks for 2θ from 15° to 90°, low angle first:
Position (°2θ), I/Imax, h k l
36.53, 17, 5 1 -1
42.54, 100, 0 2 2
42.84, 26, 0 0 4
57.54, 10, 5 1 3
65.76, 17, 5 3 -1
77.63, 2, 0 4 0
78.27, 12, 0 2 6
81.49, 7, 10 2 0
81.57, 4, 0 4 2
81.73, 17, 5 3 3

Entry 2:
# Pm6InIr
Simulated powder diffraction line list, copper Kα. Input: a structure optimized by DFT (GGA-PBE).

Cell and atoms:
Cell: 8.1156 10.4047 6.6187 Å, 90.00 105.19 90.00°
Space group C2/m (No. 12)
Inequivalent atoms, fractional coordinates:
Pm 0.1210 0.1901 0.2892
Pm 0.2170 0.5000 0.1489
In 0.0000 0.5000 0.5000
Ir 0.0000 0.0000 0.0000

Top 10 peaks for 2θ from 15° to 90°, low angle first:
Position (°2θ), I/Imax, h k l
21.87, 22, 1 1 1
22.04, 27, 0 2 1
23.33, 31, 2 0 -1
29.72, 30, 2 0 1
32.86, 100, 1 3 1
34.48, 18, 0 4 0
34.63, 43, 3 1 -1
35.72, 33, 2 2 -2
49.76, 21, 4 2 0
55.99, 23, 3 5 -1

Entry 3:
# La3Pm2Zn2
Simulated powder diffraction line list, copper Kα. Input: a structure optimized by DFT (GGA-PBE).

Cell and atoms:
Cell: 12.9666 3.8629 9.6153 Å, 90.00 115.78 90.00°
Space group C2/m (No. 12)
Inequivalent atoms, fractional coordinates:
La 0.0000 0.0000 0.0000
La 0.1047 0.0000 0.4371
Pm 0.1593 0.5000 0.8227
Zn 0.1767 0.5000 0.2319

Top 10 peaks for 2θ from 15° to 90°, low angle first:
Position (°2θ), I/Imax, h k l
27.68, 65, 4 0 -1
27.90, 40, 2 0 -3
29.70, 82, 1 1 -2
30.60, 96, 2 0 2
31.04, 100, 3 1 -1
32.66, 55, 3 1 0
32.84, 91, 4 0 -3
34.13, 37, 1 1 2
36.91, 39, 1 1 -3
57.17, 35, 2 2 2

Entry 4:
# TlCdInPb
Simulated powder diffraction line list, copper Kα. Input: a structure optimized by DFT (GGA-PBE).

Cell and atoms:
Cell: 7.7010 7.7010 7.7010 Å, 90.00 90.00 90.00°
Space group F-43m (No. 216)
Inequivalent atoms, fractional coordinates:
Tl 0.0000 0.0000 0.0000
Cd 0.2500 0.2500 0.2500
In 0.2500 0.2500 0.7500
Pb 0.0000 0.0000 0.5000

Top 10 peaks for 2θ from 15° to 90°, low angle first:
Position (°2θ), I/Imax, h k l
23.10, 8, 2 0 0
32.90, 100, 2 2 0
40.58, 3, 2 2 2
47.21, 18, 4 0 0
53.19, 4, 4 2 0
58.74, 38, 4 2 2
68.98, 12, 4 4 0
73.83, 2, 6 0 0
78.56, 17, 6 2 0
87.83, 4, 4 4 4